Entry 1:
Diffraction record for LiHoMgTl2. The powder diffraction line list is theoretical, not measured: it uses a DFT-relaxed cell (GGA-PBE, Alexandria) and copper Kα.

Atomic structure:
Cell: 5.6716 6.6356 6.3918 Å, 90.00 90.00 90.00°
Space group Pmma (No. 51)
One atom of each set of equivalent atoms:
Li (0.0000, 0.0000, 0.0000) (multiplicity 2)
Ho (0.2500, 0.5000, 0.2164) (multiplicity 2)
Mg (0.2500, 0.0000, 0.3719) (multiplicity 2)
Tl (0.2500, 0.2664, 0.7358) (multiplicity 4)

Peak list (12 most intense, 2θ = 15–90°, sorted by position)
(hkl)  two_theta  Rel. int.
1 0 1  20.9  24
0 0 2  27.9  36
0 1 2  31.1  7
2 0 0  31.5  31
1 2 1  34.3  100
2 0 2  42.6  25
1 3 1  46.3  9
1 2 3  53.6  20
3 2 1  58.0  21
2 4 0  65.1  7
2 4 2  72.3  9
3 2 3  72.7  8

Entry 2:
Diffraction record for LiNd4Ho4. The powder diffraction line list is theoretical, not measured: it uses a DFT-relaxed cell (GGA-PBE, Alexandria) and copper Kα.

Atomic structure:
Cell: 6.3310 7.9191 11.5293 Å, 90.00 90.00 90.00°
Space group I222 (No. 23)
One atom of each set of equivalent atoms:
Li (0.0000, 0.0000, 0.0000) (multiplicity 2)
Nd (0.0000, 0.0000, 0.5000) (multiplicity 2)
Nd (0.0000, 0.3200, 0.0000) (multiplicity 4)
Nd (0.0000, 0.5000, 0.5000) (multiplicity 2)
Ho (0.2374, 0.1367, 0.7551) (multiplicity 8)

Peak list (12 most intense, 2θ = 15–90°, sorted by position)
(hkl)  two_theta  Rel. int.
1 2 1  27.7  100
0 0 4  31.0  45
2 0 2  32.3  80
1 2 3  35.5  52
1 2 5  47.9  22
0 4 2  48.6  13
3 2 1  49.6  20
2 4 0  54.7  23
2 0 6  56.0  16
1 2 7  62.8  10
2 4 4  64.2  20
4 0 4  67.5  9